1.
The following is a computed X-ray powder pattern of Tm2ThAu3. It was derived from a crystal structure in Alexandria, relaxed with GGA-PBE, using λ = 1.5418 Å (Cu Kα).

Crystal structure
```
data_Tm2ThAu3
_chemical_formula_sum 'Tm2 Th1 Au3'
_space_group_name_H-M_alt 'P 1'
_space_group_IT_number 1
_space_group_name_Hall 'P 1'
_cell_length_a 3.535
_cell_length_b 3.535
_cell_length_c 11.227
_cell_angle_alpha 90.00
_cell_angle_beta 90.00
_cell_angle_gamma 90.00
loop_
_atom_site_label
_atom_site_type_symbol
_atom_site_fract_x
_atom_site_fract_y
_atom_site_fract_z
_atom_site_occupancy
Tm1 Tm 0.000 0.000 0.159 1
Tm2 Tm 0.000 0.000 0.841 1
Th1 Th 0.000 0.000 0.500 1
Au1 Au 0.500 0.500 0.000 1
Au2 Au 0.500 0.500 0.312 1
Au3 Au 0.500 0.500 0.688 1
```

Peak list (12 most intense, 2θ from 10° to 90°, low angle first)
| d_spacing | I (rel.) |
| --- | --- |
| 2.992 | 33 |
| 2.570 | 1000 |
| 2.500 | 493 |
| 1.871 | 82 |
| 1.768 | 177 |
| 1.498 | 161 |
| 1.456 | 355 |
| 1.285 | 98 |
| 1.250 | 58 |
| 1.176 | 54 |
| 1.124 | 81 |
| 1.118 | 85 |



2.
The following is a computed X-ray powder pattern of YThAu4. It was derived from a crystal structure in Alexandria, relaxed with GGA-PBE, using λ = 1.5418 Å (Cu Kα).

Crystal structure
```
data_YThAu4
_chemical_formula_sum 'Y1 Th1 Au4'
_space_group_name_H-M_alt 'P 1'
_space_group_IT_number 1
_space_group_name_Hall 'P 1'
_cell_length_a 5.879
_cell_length_b 5.879
_cell_length_c 4.762
_cell_angle_alpha 113.80
_cell_angle_beta 113.80
_cell_angle_gamma 88.83
loop_
_atom_site_label
_atom_site_type_symbol
_atom_site_fract_x
_atom_site_fract_y
_atom_site_fract_z
_atom_site_occupancy
Y1 Y 0.000 0.000 0.000 1
Th1 Th 0.525 0.475 0.500 1
Au1 Au 0.108 0.415 0.762 1
Au2 Au 0.415 0.056 0.735 1
Au3 Au 0.585 0.892 0.238 1
Au4 Au 0.944 0.585 0.265 1
```

Peak list (12 most intense, 2θ from 10° to 90°, low angle first)
| d_spacing | I (rel.) |
| --- | --- |
| 3.465 | 146 |
| 2.652 | 1000 |
| 2.378 | 908 |
| 1.962 | 97 |
| 1.773 | 102 |
| 1.769 | 203 |
| 1.733 | 109 |
| 1.422 | 98 |
| 1.419 | 193 |
| 1.402 | 162 |
| 1.399 | 162 |
| 1.374 | 109 |



3.
The following is a computed X-ray powder pattern of ThZn7Au12. It was derived from a crystal structure in Alexandria, relaxed with GGA-PBE, using λ = 1.5418 Å (Cu Kα).

Crystal structure
```
data_ThZn7Au12
_chemical_formula_sum 'Th1 Zn7 Au12'
_space_group_name_H-M_alt 'P 1'
_space_group_IT_number 1
_space_group_name_Hall 'P 1'
_cell_length_a 8.310
_cell_length_b 8.310
_cell_length_c 8.310
_cell_angle_alpha 109.47
_cell_angle_beta 109.47
_cell_angle_gamma 109.47
loop_
_atom_site_label
_atom_site_type_symbol
_atom_site_fract_x
_atom_site_fract_y
_atom_site_fract_z
_atom_site_occupancy
Th1 Th 0.000 0.000 0.000 1
Zn1 Zn 0.000 0.000 0.500 1
Zn2 Zn 0.000 0.500 0.000 1
Zn3 Zn 0.000 0.500 0.500 1
Zn4 Zn 0.500 0.000 0.000 1
Zn5 Zn 0.500 0.000 0.500 1
Zn6 Zn 0.500 0.500 0.000 1
Zn7 Zn 0.500 0.500 0.500 1
Au1 Au 0.124 0.282 0.842 1
Au2 Au 0.158 0.440 0.282 1
Au3 Au 0.158 0.876 0.718 1
Au4 Au 0.282 0.158 0.440 1
Au5 Au 0.282 0.842 0.124 1
Au6 Au 0.440 0.282 0.158 1
Au7 Au 0.560 0.718 0.842 1
Au8 Au 0.718 0.158 0.876 1
Au9 Au 0.718 0.842 0.560 1
Au10 Au 0.842 0.124 0.282 1
Au11 Au 0.842 0.560 0.718 1
Au12 Au 0.876 0.718 0.158 1
```

Peak list (12 most intense, 2θ from 10° to 90°, low angle first)
| d_spacing | I (rel.) |
| --- | --- |
| 6.785 | 386 |
| 3.034 | 916 |
| 2.770 | 295 |
| 2.565 | 1000 |
| 2.399 | 327 |
| 2.262 | 199 |
| 2.146 | 518 |
| 1.959 | 514 |
| 1.646 | 558 |
| 1.557 | 279 |
| 1.282 | 262 |
| 1.219 | 232 |



4.
The following is a computed X-ray powder pattern of ThZn12Au4. It was derived from a crystal structure in Alexandria, relaxed with GGA-PBE, using λ = 1.5418 Å (Cu Kα).

Crystal structure
```
data_ThZn12Au4
_chemical_formula_sum 'Th1 Zn12 Au4'
_space_group_name_H-M_alt 'P 1'
_space_group_IT_number 1
_space_group_name_Hall 'P 1'
_cell_length_a 7.665
_cell_length_b 7.665
_cell_length_c 7.665
_cell_angle_alpha 109.47
_cell_angle_beta 109.47
_cell_angle_gamma 109.47
loop_
_atom_site_label
_atom_site_type_symbol
_atom_site_fract_x
_atom_site_fract_y
_atom_site_fract_z
_atom_site_occupancy
Th1 Th 0.000 0.000 0.000 1
Zn1 Zn 0.145 0.355 0.500 1
Zn2 Zn 0.145 0.645 0.790 1
Zn3 Zn 0.210 0.855 0.355 1
Zn4 Zn 0.355 0.210 0.855 1
Zn5 Zn 0.355 0.500 0.145 1
Zn6 Zn 0.500 0.145 0.355 1
Zn7 Zn 0.500 0.855 0.645 1
Zn8 Zn 0.645 0.500 0.855 1
Zn9 Zn 0.645 0.790 0.145 1
Zn10 Zn 0.790 0.145 0.645 1
Zn11 Zn 0.855 0.355 0.210 1
Zn12 Zn 0.855 0.645 0.500 1
Au1 Au 0.000 0.000 0.500 1
Au2 Au 0.000 0.500 0.000 1
Au3 Au 0.500 0.000 0.000 1
Au4 Au 0.500 0.500 0.500 1
```

Peak list (12 most intense, 2θ from 10° to 90°, low angle first)
| d_spacing | I (rel.) |
| --- | --- |
| 4.425 | 260 |
| 3.129 | 1000 |
| 2.799 | 648 |
| 2.555 | 132 |
| 2.365 | 380 |
| 2.213 | 159 |
| 1.979 | 484 |
| 1.807 | 718 |
| 1.736 | 319 |
| 1.399 | 278 |
| 1.277 | 154 |
| 1.183 | 213 |



5.
The following is a computed X-ray powder pattern of ThZn2Au2. It was derived from a crystal structure in Alexandria, relaxed with GGA-PBE, using λ = 1.5418 Å (Cu Kα).

Crystal structure
```
data_ThZn2Au2
_chemical_formula_sum 'Th4 Zn8 Au8'
_space_group_name_H-M_alt 'P 1'
_space_group_IT_number 1
_space_group_name_Hall 'P 1'
_cell_length_a 7.567
_cell_length_b 4.364
_cell_length_c 12.255
_cell_angle_alpha 90.00
_cell_angle_beta 90.00
_cell_angle_gamma 90.00
loop_
_atom_site_label
_atom_site_type_symbol
_atom_site_fract_x
_atom_site_fract_y
_atom_site_fract_z
_atom_site_occupancy
Th1 Th 0.139 0.250 0.189 1
Th2 Th 0.361 0.750 0.689 1
Th3 Th 0.639 0.250 0.311 1
Th4 Th 0.861 0.750 0.811 1
Zn1 Zn 0.042 0.250 0.443 1
Zn2 Zn 0.200 0.250 0.874 1
Zn3 Zn 0.300 0.750 0.374 1
Zn4 Zn 0.458 0.750 0.943 1
Zn5 Zn 0.542 0.250 0.057 1
Zn6 Zn 0.700 0.250 0.626 1
Zn7 Zn 0.800 0.750 0.126 1
Zn8 Zn 0.958 0.750 0.557 1
Au1 Au 0.063 0.250 0.667 1
Au2 Au 0.128 0.750 0.001 1
Au3 Au 0.372 0.250 0.501 1
Au4 Au 0.437 0.750 0.167 1
Au5 Au 0.563 0.250 0.833 1
Au6 Au 0.628 0.750 0.499 1
Au7 Au 0.872 0.250 0.999 1
Au8 Au 0.937 0.750 0.333 1
```

Peak list (12 most intense, 2θ from 10° to 90°, low angle first)
| d_spacing | I (rel.) |
| --- | --- |
| 3.218 | 378 |
| 2.859 | 235 |
| 2.840 | 245 |
| 2.775 | 582 |
| 2.591 | 1000 |
| 2.470 | 322 |
| 2.380 | 690 |
| 2.182 | 554 |
| 2.150 | 268 |
| 2.090 | 289 |
| 1.492 | 242 |
| 1.350 | 424 |



6.
The following is a computed X-ray powder pattern of Th2Zn5Au. It was derived from a crystal structure in Alexandria, relaxed with GGA-PBE, using λ = 1.5418 Å (Cu Kα).

Crystal structure
```
data_Th2Zn5Au
_chemical_formula_sum 'Th4 Zn10 Au2'
_space_group_name_H-M_alt 'P 1'
_space_group_IT_number 1
_space_group_name_Hall 'P 1'
_cell_length_a 8.594
_cell_length_b 8.594
_cell_length_c 8.992
_cell_angle_alpha 90.00
_cell_angle_beta 90.00
_cell_angle_gamma 150.71
loop_
_atom_site_label
_atom_site_type_symbol
_atom_site_fract_x
_atom_site_fract_y
_atom_site_fract_z
_atom_site_occupancy
Th1 Th 0.000 0.000 0.000 1
Th2 Th 0.000 0.000 0.500 1
Th3 Th 0.204 0.796 0.750 1
Th4 Th 0.796 0.204 0.250 1
Zn1 Zn 0.185 0.815 0.108 1
Zn2 Zn 0.185 0.815 0.392 1
Zn3 Zn 0.347 0.653 0.020 1
Zn4 Zn 0.347 0.653 0.480 1
Zn5 Zn 0.399 0.601 0.750 1
Zn6 Zn 0.601 0.399 0.250 1
Zn7 Zn 0.653 0.347 0.520 1
Zn8 Zn 0.653 0.347 0.980 1
Zn9 Zn 0.815 0.185 0.608 1
Zn10 Zn 0.815 0.185 0.892 1
Au1 Au 0.446 0.554 0.250 1
Au2 Au 0.554 0.446 0.750 1
```

Peak list (12 most intense, 2θ from 10° to 90°, low angle first)
| d_spacing | I (rel.) |
| --- | --- |
| 6.105 | 158 |
| 3.197 | 219 |
| 3.071 | 464 |
| 2.722 | 1000 |
| 2.643 | 785 |
| 2.441 | 271 |
| 2.359 | 230 |
| 2.248 | 222 |
| 2.173 | 450 |
| 2.034 | 250 |
| 1.711 | 180 |
| 1.373 | 200 |